1.
This entry pairs a crystal structure of Er3Ru with its computed PXRD pattern. Radiation: Cu Kα (λ = 1.5418 Å). Structure: a structure optimized by DFT (GGA-PBE).

Main lines, in order of rising 2θ (10 to 90 degrees two-theta):
2θ/deg	I/Imax	(hkl)
30.11	55	2 1 1
31.16	60	1 0 2
31.57	74	2 2 0
32.73	91	1 1 2
32.95	100	0 3 1
34.76	77	2 2 1
35.25	67	1 3 1
39.88	55	3 0 1

Atomic structure:
a b c (Å): 7.268 9.056 6.249
angles (deg): 90.00 90.00 90.00
Space group Pnma (No. 62)
Unique sites:
Er 0.040 0.250 0.131 x4
Er 0.176 0.063 0.668 x8
Ru 0.115 0.750 0.462 x4


2.
This entry pairs a crystal structure of Er7Sb2Ru2 with its computed PXRD pattern. Radiation: Cu Kα (λ = 1.5418 Å). Structure: a structure optimized by DFT (GGA-PBE).

Main lines, in order of rising 2θ (10 to 90 degrees two-theta):
2θ/deg	I/Imax	(hkl)
30.14	60	1 1 2
30.25	28	0 5 1
33.41	94	1 4 1
34.31	100	0 3 3
38.93	24	1 2 3
44.87	30	2 0 0
50.90	26	0 8 2
57.65	22	2 3 3

Atomic structure:
a b c (Å): 4.040 15.615 9.080
angles (deg): 90.00 90.00 90.00
Space group Imm2 (No. 44)
Unique sites:
Er 0.000 0.000 0.000 x2
Er 0.000 0.130 0.591 x4
Er 0.000 0.315 0.381 x4
Er 0.000 0.350 0.754 x4
Sb 0.000 0.000 0.333 x2
Sb 0.000 0.500 0.247 x2
Ru 0.000 0.240 0.070 x4


3.
This entry pairs a crystal structure of Er5SbRu2 with its computed PXRD pattern. Radiation: Cu Kα (λ = 1.5418 Å). Structure: a structure optimized by DFT (GGA-PBE).

Main lines, in order of rising 2θ (10 to 90 degrees two-theta):
2θ/deg	I/Imax	(hkl)
31.39	28	1 1 4
32.94	100	2 1 3
35.59	30	2 0 4
37.11	65	3 1 0
42.83	24	2 1 5
53.45	21	4 2 0
68.03	20	3 1 8
69.34	22	4 4 0

Atomic structure:
a b c (Å): 7.661 7.661 13.406
angles (deg): 90.00 90.00 90.00
Space group I4/mcm (No. 140)
Unique sites:
Er 0.000 0.000 0.000 x4
Er 0.156 0.344 0.134 x16
Sb 0.000 0.000 0.250 x4
Ru 0.140 0.360 0.500 x8


4.
This entry pairs a crystal structure of Er2ScRu3 with its computed PXRD pattern. Radiation: Cu Kα (λ = 1.5418 Å). Structure: a structure optimized by DFT (GGA-PBE).

Main lines, in order of rising 2θ (10 to 90 degrees two-theta):
2θ/deg	I/Imax	(hkl)
30.13	6	1 3 1
38.34	100	0 6 0
38.44	20	2 0 0
55.16	7	0 0 4
55.48	14	2 6 0
69.23	14	2 0 4
69.44	27	3 3 2
82.07	8	2 6 4

Atomic structure:
a b c (Å): 4.683 14.057 6.661
angles (deg): 90.00 90.00 90.00
Space group Cmmm (No. 65)
Unique sites:
Er 0.000 0.000 0.000 x2
Er 0.000 0.000 0.500 x2
Er 0.000 0.333 0.000 x4
Sc 0.000 0.331 0.500 x4
Ru 0.000 0.169 0.259 x8
Ru 0.000 0.500 0.256 x4


5.
This entry pairs a crystal structure of ErSc2Ru2 with its computed PXRD pattern. Radiation: Cu Kα (λ = 1.5418 Å). Structure: a structure optimized by DFT (GGA-PBE).

Main lines, in order of rising 2θ (10 to 90 degrees two-theta):
2θ/deg	I/Imax	(hkl)
33.42	44	0 4 1
36.10	79	1 5 0
39.15	100	1 1 1
39.80	63	0 6 1
43.25	22	1 7 0
67.85	24	1 11 1
68.95	23	1 5 2
70.58	22	2 6 1

Atomic structure:
a b c (Å): 3.303 18.920 3.255
angles (deg): 90.00 90.00 90.00
Space group Cmmm (No. 65)
Unique sites:
Er 0.000 0.000 0.000 x2
Sc 0.000 0.171 0.000 x4
Ru 0.000 0.403 0.500 x4


6.
This entry pairs a crystal structure of ErScRu4 with its computed PXRD pattern. Radiation: Cu Kα (λ = 1.5418 Å). Structure: a structure optimized by DFT (GGA-PBE).

Main lines, in order of rising 2θ (10 to 90 degrees two-theta):
2θ/deg	I/Imax	(hkl)
20.71	15	1 1 1
34.14	26	2 2 0
40.26	100	3 1 1
42.14	41	2 2 2
65.26	31	5 1 1
71.89	25	4 4 0
85.76	11	5 3 3
87.00	15	6 2 2

Atomic structure:
a b c (Å): 7.429 7.429 7.429
angles (deg): 90.00 90.00 90.00
Space group F-43m (No. 216)
Unique sites:
Er 0.000 0.000 0.000 x4
Sc 0.250 0.250 0.750 x4
Ru 0.125 0.125 0.375 x16


Copy entry 4 word for word.
This entry pairs a crystal structure of Er2ScRu3 with its computed PXRD pattern. Radiation: Cu Kα (λ = 1.5418 Å). Structure: a structure optimized by DFT (GGA-PBE).

Main lines, in order of rising 2θ (10 to 90 degrees two-theta):
2θ/deg	I/Imax	(hkl)
30.13	6	1 3 1
38.34	100	0 6 0
38.44	20	2 0 0
55.16	7	0 0 4
55.48	14	2 6 0
69.23	14	2 0 4
69.44	27	3 3 2
82.07	8	2 6 4

Atomic structure:
a b c (Å): 4.683 14.057 6.661
angles (deg): 90.00 90.00 90.00
Space group Cmmm (No. 65)
Unique sites:
Er 0.000 0.000 0.000 x2
Er 0.000 0.000 0.500 x2
Er 0.000 0.333 0.000 x4
Sc 0.000 0.331 0.500 x4
Ru 0.000 0.169 0.259 x8
Ru 0.000 0.500 0.256 x4